Diffraction record for La4V5Si4O22. The PXRD pattern is simulated, not measured: it uses a crystal structure in Alexandria, relaxed with GGA+U and Cu Kα (weighted mean of Kα1 and Kα2).
No peak broadening, texture or thermal motion is included.

Cell and atoms:
```
La4V5Si4O22
1.0
6.814 -2.866 0.000
6.814 2.866 0.000
-2.050 0.000 11.039
La V Si O
4 5 4 22
Direct
0.073 0.073 0.248
0.356 0.356 0.243
0.644 0.644 0.757
0.927 0.927 0.752
0.000 0.000 0.500
0.000 0.500 0.500
0.500 0.000 0.500
0.500 0.500 0.000
0.500 0.500 0.500
0.138 0.138 0.957
0.296 0.296 0.771
0.704 0.704 0.229
0.862 0.862 0.043
0.038 0.511 0.688
0.143 0.143 0.478
0.165 0.695 0.086
0.188 0.188 0.098
0.219 0.219 0.865
0.219 0.737 0.370
0.263 0.781 0.630
0.305 0.835 0.914
0.349 0.349 0.482
0.411 0.411 0.839
0.489 0.962 0.312
0.511 0.038 0.688
0.589 0.589 0.161
0.651 0.651 0.518
0.695 0.165 0.086
0.737 0.219 0.370
0.781 0.263 0.630
0.781 0.781 0.135
0.812 0.812 0.902
0.835 0.305 0.914
0.857 0.857 0.522
0.962 0.489 0.312
```

Most intense lines, 5 to 70 degrees two-theta, by angle:
| two_theta | I_rel |
| --- | --- |
| 18.1 | 487 |
| 19.2 | 601 |
| 27.7 | 1000 |
| 28.0 | 777 |
| 28.6 | 545 |
| 31.2 | 620 |
| 32.0 | 460 |
| 32.4 | 670 |
| 32.6 | 725 |
| 45.6 | 670 |